For Ho2ErPaRu2, a cell relaxed with PBE gives the theoretical powder XRD pattern in this record (a wavelength of 1.5418 Å).
Lines closer than 0.1° are merged.

Atomic structure:
abc: 8.3045 8.3045 8.3045
angles: 131.94 69.85 132.54
Positions (direct):
Ho  0.1946  0.2047  0.3993
Ho  0.3054  0.7047  0.0101
Ho  0.6946  0.2953  0.9899
Ho  0.8054  0.7953  0.6007
Er  0.2500  0.7500  0.5000
Er  0.7500  0.2500  0.5000
Pa  0.2500  0.2500  0.0000
Pa  0.7500  0.7500  0.0000
Ru  0.1040  0.7928  0.8968
Ru  0.3960  0.2928  0.6888
Ru  0.6040  0.7072  0.3112
Ru  0.8960  0.2072  0.1032

Main lines, by angle (10° ≤ 2θ ≤ 90°):
| two_theta | Rel. int. |
| --- | --- |
| 13.00 | 346 |
| 14.62 | 255 |
| 29.49 | 838 |
| 29.78 | 914 |
| 32.34 | 716 |
| 37.48 | 355 |
| 37.72 | 372 |
| 37.85 | 1000 |
| 44.22 | 307 |
| 81.45 | 210 |

For HoErPb, a cell relaxed with PBE gives the theoretical powder XRD pattern in this record (a wavelength of 1.5418 Å).
Lines closer than 0.1° are merged.

Atomic structure:
abc: 3.5227 5.2709 9.7914
angles: 90.00 100.29 90.00
Positions (direct):
Ho  0.2122  0.2500  0.4251
Ho  0.7878  0.7500  0.5749
Er  0.3963  0.2500  0.7874
Er  0.6037  0.7500  0.2126
Pb  0.0455  0.2500  0.0965
Pb  0.9545  0.7500  0.9035

Main lines, by angle (10° ≤ 2θ ≤ 90°):
| two_theta | Rel. int. |
| --- | --- |
| 30.88 | 1000 |
| 32.65 | 982 |
| 33.63 | 273 |
| 34.02 | 532 |
| 34.49 | 378 |
| 38.61 | 295 |
| 49.23 | 279 |
| 58.92 | 269 |
| 62.69 | 308 |
| 63.53 | 179 |

For Ho2ErPb3, a cell relaxed with PBE gives the theoretical powder XRD pattern in this record (a wavelength of 1.5418 Å).
Lines closer than 0.1° are merged.

Atomic structure:
abc: 7.5919 7.5919 6.3419
angles: 90.00 90.00 100.36
Positions (direct):
Ho  0.0491  0.3130  0.0000
Ho  0.3130  0.0491  0.5000
Ho  0.6870  0.9509  0.0000
Ho  0.9509  0.6870  0.5000
Er  0.3665  0.6335  0.7383
Er  0.6335  0.3665  0.2383
Pb  0.0437  0.3067  0.4950
Pb  0.3067  0.0437  0.9950
Pb  0.3486  0.6514  0.2404
Pb  0.6514  0.3486  0.7404
Pb  0.6933  0.9563  0.4950
Pb  0.9563  0.6933  0.9950

Main lines, by angle (10° ≤ 2θ ≤ 90°):
| two_theta | Rel. int. |
| --- | --- |
| 28.58 | 644 |
| 30.65 | 1000 |
| 33.75 | 562 |
| 36.08 | 555 |
| 37.76 | 416 |
| 46.24 | 408 |
| 56.03 | 147 |
| 60.73 | 185 |
| 63.84 | 159 |
| 70.41 | 161 |

For Pm2Ho6Er3Pb, a cell relaxed with PBE gives the theoretical powder XRD pattern in this record (a wavelength of 1.5418 Å).
Lines closer than 0.1° are merged.

Atomic structure:
abc: 6.0720 6.0720 11.7016
angles: 94.97 94.97 120.02
Positions (direct):
Pm  0.1662  0.8338  0.0000
Pm  0.8338  0.1662  0.0000
Ho  0.0886  0.4164  0.7486
Ho  0.2563  0.2563  0.2525
Ho  0.4164  0.0886  0.7486
Ho  0.5836  0.9114  0.2514
Ho  0.7437  0.7437  0.7475
Ho  0.9114  0.5836  0.2514
Er  0.0000  0.0000  0.5000
Er  0.3328  0.6672  0.5000
Er  0.6672  0.3328  0.5000
Pb  0.5000  0.5000  0.0000

Main lines, by angle (10° ≤ 2θ ≤ 90°):
| two_theta | Rel. int. |
| --- | --- |
| 31.04 | 340 |
| 31.23 | 1000 |
| 36.16 | 677 |
| 51.94 | 242 |
| 52.19 | 239 |
| 61.75 | 144 |
| 61.97 | 285 |
| 62.08 | 142 |
| 65.14 | 123 |
| 85.34 | 119 |